1.
Starting from the PBE+U geometry in the Materials Project, the X-ray diffraction stick pattern of Li4Mn3Cu3Te2O16 was calculated for Cu Kα (λ = 1.5418 Å).

Largest 12 diffraction maxima, by angle, 10 to 90 degrees two-theta:
| d (Å) | 2theta | intensity | hkl |
| --- | --- | --- | --- |
| 4.681 | 19.0 | 44 | 2 0 -1 |
| 4.616 | 19.2 | 97 | 1 1 -1 |
| 4.526 | 19.6 | 100 | 1 1 1 |
| 4.500 | 19.7 | 48 | 2 0 1 |
| 3.611 | 24.7 | 35 | 1 1 -2 |
| 2.807 | 31.9 | 39 | 1 1 -3 |
| 2.747 | 32.6 | 34 | 1 1 3 |
| 2.604 | 34.4 | 44 | 3 1 -2 |
| 2.546 | 35.2 | 44 | 0 2 2 |
| 2.509 | 35.8 | 76 | 3 1 2 |
| 2.478 | 36.3 | 44 | 4 0 1 |
| 1.493 | 62.2 | 45 | 6 2 0 |

Cell and atoms:
```
data_Li4Mn3Cu3Te2O16
_chemical_formula_sum 'Li8 Mn6 Cu6 Te4 O32'
_cell_length_a 10.3690
_cell_length_b 5.9414
_cell_length_c 9.8996
_cell_angle_alpha 90.00
_cell_angle_beta 92.75
_cell_angle_gamma 90.00
_space_group_name_H-M_alt 'C 1 m 1'
_space_group_IT_number 8
loop_
_space_group_symop_operation_xyz
'x,y,z'
'x,-y,z'
'x+1/2,y+1/2,z'
'x+1/2,-y+1/2,z'
loop_
_atom_site_label
_atom_site_fract_x
_atom_site_fract_y
_atom_site_fract_z
Li1 0.0000 0.0000 0.0000
Li2 0.0017 0.0000 0.5062
Li3 0.1582 0.5000 0.9335
Li4 0.3316 0.0000 0.4399
Mn1 0.0836 0.2540 0.2337
Mn2 0.1714 0.0000 0.7344
Cu1 0.3298 0.5000 0.2327
Cu2 0.4160 0.2467 0.7320
Te1 0.1696 0.5000 0.5053
Te2 0.3302 0.0000 0.0025
O1 0.0040 0.0000 0.3157
O2 0.0057 0.0000 0.8120
O3 0.0142 0.5000 0.3815
O4 0.0962 0.2558 0.6113
O5 0.1591 0.5000 0.1417
O6 0.1767 0.0000 0.1149
O7 0.2355 0.2732 0.3763
O8 0.2464 0.2210 0.8809
O9 0.3292 0.0000 0.6437
O10 0.3390 0.5000 0.6055
O11 0.4186 0.2456 0.1068
O12 0.4737 0.0000 0.8752
```

=====

2.
Starting from the PBE+U geometry in the Materials Project, the X-ray diffraction stick pattern of LiVO2 was calculated for Cu Kα (λ = 1.5418 Å).

Largest 12 diffraction maxima, by angle, 10 to 90 degrees two-theta:
| d (Å) | 2theta | intensity | hkl |
| --- | --- | --- | --- |
| 3.918 | 22.7 | 75 | 0 0 1 |
| 3.030 | 29.5 | 76 | 1 0 0 |
| 2.397 | 37.5 | 19 | 1 0 1 |
| 2.142 | 42.2 | 100 | 1 1 0 |
| 1.959 | 46.3 | 36 | 0 0 2 |
| 1.880 | 48.4 | 34 | 1 1 1 |
| 1.645 | 55.9 | 21 | 1 0 2 |
| 1.515 | 61.2 | 27 | 2 0 0 |
| 1.446 | 64.5 | 46 | 1 1 2 |
| 1.413 | 66.1 | 12 | 2 0 1 |
| 1.198 | 80.1 | 25 | 2 0 2 |
| 1.115 | 87.5 | 16 | 2 1 2 |

Cell and atoms:
```
data_LiVO2
_chemical_formula_sum 'Li1 V1 O2'
_cell_length_a 3.0295
_cell_length_b 3.0295
_cell_length_c 3.9180
_cell_angle_alpha 90.00
_cell_angle_beta 90.00
_cell_angle_gamma 90.00
_space_group_name_H-M_alt 'P 4/m m m'
_space_group_IT_number 123
_space_group_name_Hall '-P 4 2'
loop_
_atom_site_label
_atom_site_fract_x
_atom_site_fract_y
_atom_site_fract_z
Li1 0.0000 0.0000 0.0000
V1 0.5000 0.5000 0.5000
O1 0.0000 0.0000 0.5000
O2 0.5000 0.5000 0.0000
```

=====

3.
Starting from the PBE+U geometry in the Materials Project, the X-ray diffraction stick pattern of Sr4Fe3MoO12 was calculated for Cu Kα (λ = 1.5418 Å).

Largest 12 diffraction maxima, by angle, 10 to 90 degrees two-theta:
| d (Å) | 2theta | intensity | hkl |
| --- | --- | --- | --- |
| 2.814 | 31.8 | 100 | 1 1 2 |
| 2.800 | 32.0 | 51 | 2 0 0 |
| 2.294 | 39.3 | 13 | 2 0 2 |
| 2.000 | 45.4 | 18 | 0 0 4 |
| 1.980 | 45.8 | 38 | 2 2 0 |
| 1.627 | 56.6 | 18 | 2 0 4 |
| 1.619 | 56.9 | 38 | 3 1 2 |
| 1.407 | 66.5 | 21 | 2 2 4 |
| 1.400 | 66.8 | 11 | 4 0 0 |
| 1.263 | 75.2 | 7 | 1 1 6 |
| 1.253 | 75.9 | 16 | 4 2 0 |
| 1.147 | 84.5 | 10 | 4 0 4 |

Cell and atoms:
```
data_Sr4Fe3MoO12
_chemical_formula_sum 'Sr4 Fe3 Mo1 O12'
_cell_length_a 5.6006
_cell_length_b 5.6006
_cell_length_c 7.9980
_cell_angle_alpha 90.00
_cell_angle_beta 90.00
_cell_angle_gamma 90.00
_space_group_name_H-M_alt 'P 4/m m m'
_space_group_IT_number 123
_space_group_name_Hall '-P 4 2'
loop_
_atom_site_label
_atom_site_fract_x
_atom_site_fract_y
_atom_site_fract_z
Sr1 0.0000 0.5000 0.2336
Fe1 0.0000 0.0000 0.0000
Fe2 0.0000 0.0000 0.5000
Fe3 0.5000 0.5000 0.0000
Mo1 0.5000 0.5000 0.5000
O1 0.0000 0.0000 0.2503
O2 0.2546 0.2546 0.0000
O3 0.2557 0.2557 0.5000
O4 0.5000 0.5000 0.2579
```

=====

4.
Starting from the PBE+U geometry in the Materials Project, the X-ray diffraction stick pattern of Li2V2F7 was calculated for Cu Kα (λ = 1.5418 Å).

Largest 12 diffraction maxima, by angle, 10 to 90 degrees two-theta:
| d (Å) | 2theta | intensity | hkl |
| --- | --- | --- | --- |
| 6.815 | 13.0 | 43 | 0 0 1 |
| 5.777 | 15.3 | 100 | 0 1 -1 |
| 3.878 | 22.9 | 18 | -1 1 1 |
| 3.799 | 23.4 | 41 | 1 1 -1 |
| 3.059 | 29.2 | 17 | 1 -1 2 |
| 2.899 | 30.8 | 44 | -2 1 1 |
| 2.866 | 31.2 | 17 | 0 2 0 |
| 2.311 | 39.0 | 48 | 0 2 1 |
| 2.190 | 41.2 | 49 | 1 -2 3 |
| 2.082 | 43.5 | 19 | -3 1 1 |
| 1.920 | 47.3 | 29 | 3 0 -2 |
| 1.464 | 63.5 | 17 | 3 2 -1 |

Cell and atoms:
```
data_Li2V2F7
_chemical_formula_sum 'Li4 V4 F14'
_cell_length_a 6.3332
_cell_length_b 6.6791
_cell_length_c 7.6107
_cell_angle_alpha 111.37
_cell_angle_beta 97.45
_cell_angle_gamma 108.12
_space_group_name_H-M_alt 'P -1'
_space_group_IT_number 2
loop_
_space_group_symop_operation_xyz
'x,y,z'
'-x,-y,-z'
loop_
_atom_site_label
_atom_site_fract_x
_atom_site_fract_y
_atom_site_fract_z
Li1 0.0859 0.1759 0.3180
Li2 0.3326 0.7585 0.6103
V1 0.2305 0.7333 0.0778
V2 0.3619 0.3329 0.7620
F1 0.0962 0.3632 0.8867
F2 0.1207 0.7693 0.8440
F3 0.1959 0.9873 0.6152
F4 0.2569 0.4322 0.5651
F5 0.3347 0.0714 0.2585
F6 0.3438 0.6695 0.3130
F7 0.4848 0.3022 0.0158
```

=====

5.
Starting from the PBE+U geometry in the Materials Project, the X-ray diffraction stick pattern of CrBO3 was calculated for Cu Kα (λ = 1.5418 Å).

Largest 12 diffraction maxima, by angle, 10 to 90 degrees two-theta:
| d (Å) | 2theta | intensity | hkl |
| --- | --- | --- | --- |
| 3.524 | 25.3 | 62 | 0 1 2 |
| 2.702 | 33.2 | 100 | 1 0 4 |
| 2.324 | 38.7 | 20 | 1 1 0 |
| 2.097 | 43.1 | 30 | 1 1 3 |
| 1.940 | 46.8 | 23 | 2 0 2 |
| 1.762 | 51.9 | 14 | 0 2 4 |
| 1.680 | 54.6 | 40 | 1 1 6 |
| 1.661 | 55.3 | 19 | 0 1 8 |
| 1.489 | 62.4 | 15 | 1 2 2 |
| 1.404 | 66.6 | 14 | 2 1 4 |
| 1.342 | 70.1 | 17 | 3 0 0 |
| 1.168 | 82.6 | 8 | 1 2 8 |

Cell and atoms:
```
data_CrBO3
_chemical_formula_sum 'Cr6 B6 O18'
_cell_length_a 4.6476
_cell_length_b 4.6476
_cell_length_c 14.5840
_cell_angle_alpha 90.00
_cell_angle_beta 90.00
_cell_angle_gamma 120.00
_space_group_name_H-M_alt 'R -3 c'
_space_group_IT_number 167
_space_group_name_Hall '-R 3 2"c'
loop_
_atom_site_label
_atom_site_fract_x
_atom_site_fract_y
_atom_site_fract_z
Cr1 0.0000 0.0000 0.0000
B1 0.0000 0.0000 0.2500
O1 0.0000 0.2980 0.2500
```

=====

6.
Starting from the PBE+U geometry in the Materials Project, the X-ray diffraction stick pattern of MgV3CrO10 was calculated for Cu Kα (λ = 1.5418 Å).

Largest 12 diffraction maxima, by angle, 10 to 90 degrees two-theta:
| d (Å) | 2theta | intensity | hkl |
| --- | --- | --- | --- |
| 6.623 | 13.4 | 23 | 1 1 0 |
| 4.893 | 18.1 | 100 | 0 0 1 |
| 3.822 | 23.3 | 28 | 1 1 1 |
| 3.311 | 26.9 | 75 | 2 2 0 |
| 2.826 | 31.7 | 57 | 2 2 -1 |
| 2.666 | 33.6 | 39 | 2 2 1 |
| 2.344 | 38.4 | 8 | 1 1 -2 |
| 2.250 | 40.1 | 9 | 1 1 2 |
| 2.062 | 43.9 | 14 | 3 3 -1 |
| 1.694 | 54.1 | 12 | 0 4 2 |
| 1.656 | 55.5 | 21 | 4 4 0 |
| 1.540 | 60.1 | 8 | 4 4 1 |

Cell and atoms:
```
data_MgV3CrO10
_chemical_formula_sum 'Mg2 V6 Cr2 O20'
_cell_length_a 9.3708
_cell_length_b 9.3982
_cell_length_c 4.9128
_cell_angle_alpha 90.00
_cell_angle_beta 95.10
_cell_angle_gamma 90.00
_space_group_name_H-M_alt 'C 1 2 1'
_space_group_IT_number 5
loop_
_space_group_symop_operation_xyz
'x,y,z'
'-x,y,-z'
'x+1/2,y+1/2,z'
'-x+1/2,y+1/2,-z'
loop_
_atom_site_label
_atom_site_fract_x
_atom_site_fract_y
_atom_site_fract_z
Mg1 0.0000 0.0000 0.0000
V1 0.0000 0.2535 0.5000
V2 0.2390 0.0021 0.5912
Cr1 0.0000 0.7494 0.5000
O1 0.0983 0.1390 0.7369
O2 0.0978 0.8647 0.7311
O3 0.1156 0.3564 0.3328
O4 0.1156 0.6447 0.3355
O5 0.1921 0.0017 0.2565
```